Diffraction record for CaAsIr2Br. The powder X-ray diffraction pattern is calculated, not measured: it uses a crystal structure in Alexandria, relaxed with PBE and Cu Ka.

Principal peaks in the range 2θ = 15–90°, sorted by position:
hkl, 2θ (°), d [Å], Rel. int.
1 0 0, 19.55, 4.540, 12.8
0 0 2, 30.24, 2.956, 52.9
1 1 1, 31.72, 2.821, 100.0
2 0 0, 39.71, 2.270, 50.6
2 0 1, 42.67, 2.119, 27.5
2 0 2, 50.71, 1.800, 49.9
1 1 3, 54.65, 1.679, 21.5
2 2 0, 57.41, 1.605, 17.2
2 2 2, 66.26, 1.411, 22.3
3 1 1, 67.09, 1.395, 23.2
2 0 4, 76.99, 1.239, 14.5
3 1 3, 83.27, 1.160, 13.0

Structure:
a = 4.540 Å, b = 4.540 Å, c = 5.912 Å
α = 90.00°, β = 90.00°, γ = 90.00°
Space group P4/mmm (No. 123)
Asymmetric unit:
1 Ca 0.000 0.000 0.000
2 As 0.500 0.500 0.500
3 Ir 0.000 0.500 0.500
4 Br 0.500 0.500 0.000